[1]
Starting from a PBE-relaxed structure, the X-ray diffraction stick pattern of Li15Pd4 was computed for Cu Kα.
Peak positions follow from Bragg's law for the DFT cell and can differ from measured ones.

Main lines, sorted by position (2θ from 5° to 70°):
2θ = 20.88°, 4.255 Å, I 38
2θ = 24.15°, 3.685 Å, I 100
2θ = 27.05°, 3.296 Å, I 55
2θ = 32.13°, 2.786 Å, I 22
2θ = 40.60°, 2.222 Å, I 35
2θ = 42.49°, 2.128 Å, I 18
2θ = 44.32°, 2.044 Å, I 51
2θ = 47.80°, 1.903 Å, I 30

Structural model:
Cell lengths 10.423, 10.423, 10.423 Å; angles 90.00, 90.00, 90.00 degrees
Space group I-43d (No. 220)
Asymmetric unit:
Li 0.000 0.250 0.375 [12 per cell]
Li 0.038 0.382 0.158 [48 per cell]
Pd 0.044 0.456 0.544 [16 per cell]



[2]
Starting from a PBE-relaxed structure, the X-ray diffraction stick pattern of KHg3GeTe4 was computed for Cu Kα.
Peak positions follow from Bragg's law for the DFT cell and can differ from measured ones.

Main lines, sorted by position (2θ from 5° to 70°):
2θ = 7.89°, 11.206 Å, I 100
2θ = 13.23°, 6.691 Å, I 52
2θ = 24.67°, 3.608 Å, I 47
2θ = 26.89°, 3.316 Å, I 64
2θ = 31.39°, 2.850 Å, I 40
2θ = 33.82°, 2.651 Å, I 37
2θ = 38.25°, 2.353 Å, I 44
2θ = 41.01°, 2.201 Å, I 35

Structural model:
Cell lengths 7.209, 8.340, 11.206 Å; angles 90.00, 90.11, 90.00 degrees
Space group P2_1/m (No. 11)
Asymmetric unit:
K 0.217 0.250 0.402 [2 per cell]
Hg 0.220 0.081 0.042 [4 per cell]
Hg 0.383 0.250 0.712 [2 per cell]
Ge 0.117 0.750 0.248 [2 per cell]
Te 0.107 0.503 0.768 [4 per cell]
Te 0.310 0.750 0.450 [2 per cell]
Te 0.369 0.750 0.069 [2 per cell]



[3]
Starting from a PBE-relaxed structure, the X-ray diffraction stick pattern of Zr2InSbPd2 was computed for Cu Kα.
Peak positions follow from Bragg's law for the DFT cell and can differ from measured ones.

Main lines, sorted by position (2θ from 5° to 70°):
2θ = 23.76°, 3.744 Å, I 46
2θ = 27.69°, 3.222 Å, I 13
2θ = 39.16°, 2.300 Å, I 100
2θ = 39.56°, 2.278 Å, I 49
2θ = 45.98°, 1.974 Å, I 8
2θ = 46.67°, 1.946 Å, I 15
2θ = 55.99°, 1.642 Å, I 9
2θ = 57.18°, 1.611 Å, I 16

Structural model:
Cell lengths 6.444, 6.444, 13.140 Å; angles 90.00, 90.00, 90.00 degrees
Space group I-42d (No. 122)
Asymmetric unit:
Zr 0.000 0.000 0.247 [8 per cell]
In 0.000 0.000 0.000 [4 per cell]
Sb 0.000 0.000 0.500 [4 per cell]
Pd 0.245 0.250 0.625 [8 per cell]



[4]
Starting from a PBE-relaxed structure, the X-ray diffraction stick pattern of LaNi2SbP was computed for Cu Kα.
Peak positions follow from Bragg's law for the DFT cell and can differ from measured ones.

Main lines, sorted by position (2θ from 5° to 70°):
2θ = 27.77°, 3.213 Å, I 11
2θ = 34.68°, 2.587 Å, I 23
2θ = 34.95°, 2.568 Å, I 100
2θ = 42.32°, 2.136 Å, I 46
2θ = 42.70°, 2.118 Å, I 10
2θ = 47.95°, 1.897 Å, I 10
2θ = 55.82°, 1.647 Å, I 11
2θ = 61.40°, 1.510 Å, I 15

Structural model:
Cell lengths 4.271, 4.271, 9.754 Å; angles 90.00, 90.00, 90.00 degrees
Space group P4/nmm (No. 129, origin choice 2)
Asymmetric unit:
La 0.250 0.250 0.219 [2 per cell]
Ni 0.250 0.250 0.652 [2 per cell]
Ni 0.250 0.750 0.000 [2 per cell]
Sb 0.250 0.750 0.500 [2 per cell]
P 0.250 0.250 0.883 [2 per cell]



[5]
Starting from a PBE-relaxed structure, the X-ray diffraction stick pattern of Ho3Ni7B2 was computed for Cu Kα.
Peak positions follow from Bragg's law for the DFT cell and can differ from measured ones.

Main lines, sorted by position (2θ from 5° to 70°):
2θ = 32.30°, 2.772 Å, I 18
2θ = 35.37°, 2.537 Å, I 41
2θ = 37.56°, 2.395 Å, I 100
2θ = 41.07°, 2.198 Å, I 19
2θ = 41.58°, 2.172 Å, I 57
2θ = 43.76°, 2.069 Å, I 79
2θ = 64.94°, 1.436 Å, I 37
2θ = 69.33°, 1.355 Å, I 19

Structural model:
Cell lengths 5.0749, 5.0749, 14.2869 Å; angles 90.00, 90.00, 120.00 degrees
Space group P6_3/mmc (No. 194)
Asymmetric unit:
Ho 0.3333 0.6667 0.0307 [4 per cell]
Ho 0.3333 0.6667 0.2500 [2 per cell]
Ni 0.0000 0.0000 0.0000 [2 per cell]
Ni 0.1655 0.3311 0.6490 [12 per cell]
B 0.0000 0.0000 0.2500 [2 per cell]
B 0.3333 0.6667 0.7500 [2 per cell]



[6]
Starting from a PBE-relaxed structure, the X-ray diffraction stick pattern of Cu7Ag was computed for Cu Kα.
Peak positions follow from Bragg's law for the DFT cell and can differ from measured ones.

Main lines, sorted by position (2θ from 5° to 70°):
2θ = 5.20°, 16.992 Å, I 9
2θ = 10.41°, 8.496 Å, I 3
2θ = 37.03°, 2.427 Å, I 3
2θ = 42.22°, 2.141 Å, I 100
2θ = 42.56°, 2.124 Å, I 29
2θ = 46.16°, 1.966 Å, I 3
2θ = 49.25°, 1.850 Å, I 60
2θ = 67.34°, 1.390 Å, I 2

Structural model:
Cell lengths 2.6244, 2.6244, 50.9749 Å; angles 90.00, 90.00, 120.00 degrees
Space group R-3m (No. 166, hexagonal axes)
Asymmetric unit:
Cu 0.0000 0.0000 0.0000 [3 per cell]
Cu 0.0000 0.0000 0.1211 [6 per cell]
Cu 0.0000 0.0000 0.2525 [6 per cell]
Cu 0.0000 0.0000 0.3737 [6 per cell]
Ag 0.0000 0.0000 0.5000 [3 per cell]



[7]
Starting from a PBE-relaxed structure, the X-ray diffraction stick pattern of GdLuFe2Cl2 was computed for Cu Kα.
Peak positions follow from Bragg's law for the DFT cell and can differ from measured ones.

Main lines, sorted by position (2θ from 5° to 70°):
2θ = 8.04°, 10.998 Å, I 100
2θ = 27.21°, 3.278 Å, I 21
2θ = 28.41°, 3.141 Å, I 9
2θ = 31.78°, 2.815 Å, I 37
2θ = 36.78°, 2.443 Å, I 61
2θ = 48.08°, 1.892 Å, I 22
2θ = 49.93°, 1.826 Å, I 9
2θ = 62.03°, 1.496 Å, I 13

Structural model:
Cell lengths 3.7846, 3.7846, 10.9982 Å; angles 90.00, 90.00, 120.00 degrees
Space group P3m1 (No. 156)
Asymmetric unit:
Gd 0.0000 0.0000 0.0000 [1 per cell]
Lu 0.0000 0.0000 0.3612 [1 per cell]
Fe 0.3333 0.6667 0.1944 [1 per cell]
Fe 0.6667 0.3333 0.1757 [1 per cell]
Cl 0.3333 0.6667 0.8389 [1 per cell]
Cl 0.6667 0.3333 0.5150 [1 per cell]



[8]
Starting from a PBE-relaxed structure, the X-ray diffraction stick pattern of CoSb was computed for Cu Kα.
Peak positions follow from Bragg's law for the DFT cell and can differ from measured ones.

Main lines, sorted by position (2θ from 5° to 70°):
2θ = 31.78°, 2.816 Å, I 100
2θ = 34.75°, 2.582 Å, I 4
2θ = 44.25°, 2.047 Å, I 54
2θ = 46.85°, 1.939 Å, I 51
2θ = 57.72°, 1.597 Å, I 18
2θ = 59.63°, 1.551 Å, I 5
2θ = 60.43°, 1.532 Å, I 15
2θ = 66.40°, 1.408 Å, I 15

Structural model:
Cell lengths 3.8787, 3.8787, 5.1637 Å; angles 90.00, 90.00, 120.00 degrees
Space group P6_3/mmc (No. 194)
Asymmetric unit:
Co 0.0000 0.0000 0.0000 [2 per cell]
Sb 0.3333 0.6667 0.2500 [2 per cell]



[9]
Starting from a PBE-relaxed structure, the X-ray diffraction stick pattern of LaAuSO was computed for Cu Kα.
Peak positions follow from Bragg's law for the DFT cell and can differ from measured ones.

Main lines, sorted by position (2θ from 5° to 70°):
2θ = 9.65°, 9.168 Å, I 76
2θ = 19.36°, 4.584 Å, I 58
2θ = 29.09°, 3.070 Å, I 71
2θ = 30.54°, 2.927 Å, I 82
2θ = 32.16°, 2.783 Å, I 100
2θ = 36.47°, 2.464 Å, I 70
2θ = 42.78°, 2.114 Å, I 52
2θ = 44.95°, 2.017 Å, I 81

Structural model:
Cell lengths 5.839, 9.168, 5.854 Å; angles 90.00, 90.00, 90.00 degrees
Space group Pcca (No. 54)
Asymmetric unit:
La 0.000 0.132 0.250 [4 per cell]
Au 0.250 0.500 0.243 [4 per cell]
S 0.000 0.293 0.750 [4 per cell]
O 0.250 0.000 0.000 [4 per cell]



[10]
Starting from a PBE-relaxed structure, the X-ray diffraction stick pattern of PrGeAuSeS2 was computed for Cu Kα.
Peak positions follow from Bragg's law for the DFT cell and can differ from measured ones.

Main lines, sorted by position (2θ from 5° to 70°):
2θ = 13.87°, 6.384 Å, I 59
2θ = 28.13°, 3.172 Å, I 61
2θ = 31.60°, 2.831 Å, I 100
2θ = 31.83°, 2.812 Å, I 53
2θ = 34.56°, 2.595 Å, I 60
2θ = 39.05°, 2.306 Å, I 47
2θ = 45.01°, 2.014 Å, I 31
2θ = 45.58°, 1.990 Å, I 31

Structural model:
Cell lengths 4.028, 12.768, 11.246 Å; angles 90.00, 90.00, 90.00 degrees
Space group Cmcm (No. 63)
Asymmetric unit:
Pr 0.000 0.000 0.000 [4 per cell]
Ge 0.000 0.246 0.250 [4 per cell]
Au 0.000 0.436 0.750 [4 per cell]
Se 0.000 0.108 0.750 [4 per cell]
S 0.000 0.353 0.560 [8 per cell]



[11]
Starting from a PBE-relaxed structure, the X-ray diffraction stick pattern of SmAgSnTeSe2 was computed for Cu Kα.
Peak positions follow from Bragg's law for the DFT cell and can differ from measured ones.

Main lines, sorted by position (2θ from 5° to 70°):
2θ = 12.51°, 7.075 Å, I 21
2θ = 29.67°, 3.011 Å, I 41
2θ = 31.91°, 2.805 Å, I 27
2θ = 32.80°, 2.731 Å, I 100
2θ = 41.79°, 2.162 Å, I 16
2θ = 43.35°, 2.087 Å, I 22
2θ = 45.47°, 1.995 Å, I 15
2θ = 50.04°, 1.823 Å, I 13

Structural model:
Cell lengths 4.174, 14.151, 11.219 Å; angles 90.00, 90.00, 90.00 degrees
Space group Cmcm (No. 63)
Asymmetric unit:
Sm 0.000 0.000 0.000 [4 per cell]
Ag 0.000 0.476 0.250 [4 per cell]
Sn 0.000 0.214 0.750 [4 per cell]
Te 0.000 0.110 0.250 [4 per cell]
Se 0.000 0.361 0.064 [8 per cell]



[12]
Starting from a PBE-relaxed structure, the X-ray diffraction stick pattern of Dy3Mg3Zn2Pt was computed for Cu Kα.
Peak positions follow from Bragg's law for the DFT cell and can differ from measured ones.

Main lines, sorted by position (2θ from 5° to 70°):
2θ = 21.20°, 4.190 Å, I 37
2θ = 23.87°, 3.727 Å, I 38
2θ = 27.63°, 3.228 Å, I 40
2θ = 32.14°, 2.785 Å, I 64
2θ = 35.09°, 2.557 Å, I 100
2θ = 41.98°, 2.152 Å, I 32
2θ = 42.89°, 2.109 Å, I 32
2θ = 67.01°, 1.396 Å, I 30

Structural model:
Cell lengths 7.4550, 7.4550, 4.1904 Å; angles 90.00, 90.00, 120.00 degrees
Space group P-62m (No. 189)
Asymmetric unit:
Dy 0.0000 0.4048 0.0000 [3 per cell]
Mg 0.0000 0.7607 0.5000 [3 per cell]
Zn 0.3333 0.6667 0.5000 [2 per cell]
Pt 0.0000 0.0000 0.0000 [1 per cell]